[1]
# CaGe2Pt2
Simulated powder diffractogram, Cu Kα X-rays. Input: a GGA-PBE-relaxed structure.

Largest 10 diffraction maxima, in order of rising 2θ, 2θ = 15–90°:
2θ (°)  I (rel.)
17.0  47
22.4  30
22.6  31
30.8  43
34.3  100
42.0  41
42.6  40
46.0  93
48.6  28
61.4  27

Atomic structure:
Lattice parameters (Å, degrees): 4.244 4.302 10.412 90.00 90.10 90.00
Fractional positions:
Ca  0.248  0.000  0.249
Ca  0.752  0.500  0.751
Ge  0.240  0.990  0.632
Ge  0.253  0.511  0.997
Ge  0.747  0.011  0.003
Ge  0.760  0.490  0.368
Pt  0.247  0.009  0.866
Pt  0.261  0.488  0.501
Pt  0.739  0.988  0.499
Pt  0.753  0.509  0.134



[2]
# NdFe10Mo2N
Simulated powder diffractogram, Cu Kα X-rays. Input: a GGA-PBE-relaxed structure.

Largest 10 diffraction maxima, in order of rising 2θ, 2θ = 15–90°:
2θ (°)  I (rel.)
36.1  31
36.2  29
37.0  23
41.6  35
41.8  21
41.9  100
42.7  78
47.0  18
47.8  24
70.1  21

Atomic structure:
Lattice parameters (Å, degrees): 6.591 6.591 6.591 136.80 98.01 97.56
Fractional positions:
Nd  0.000  0.000  0.000
Fe  0.000  0.000  0.500
Fe  0.000  0.500  0.000
Fe  0.221  0.721  0.500
Fe  0.223  0.500  0.723
Fe  0.361  0.361  0.000
Fe  0.500  0.000  0.000
Fe  0.500  0.500  0.500
Fe  0.639  0.639  0.000
Fe  0.777  0.500  0.277
Fe  0.779  0.279  0.500
Mo  0.360  0.000  0.360
Mo  0.640  0.000  0.640
N  0.000  0.500  0.500



[3]
# SrSi2
Simulated powder diffractogram, Cu Kα X-rays. Input: a GGA-PBE-relaxed structure.

Largest 10 diffraction maxima, in order of rising 2θ, 2θ = 15–90°:
2θ (°)  I (rel.)
19.1  10
30.5  100
33.4  61
45.9  19
52.1  35
56.0  10
61.6  10
65.1  19
73.6  9
78.5  19

Atomic structure:
Lattice parameters (Å, degrees): 6.564 6.564 6.564 90.00 90.00 90.00
Fractional positions:
Sr  0.125  0.375  0.625
Sr  0.375  0.625  0.125
Sr  0.625  0.125  0.375
Sr  0.875  0.875  0.875
Si  0.078  0.922  0.422
Si  0.172  0.172  0.172
Si  0.328  0.828  0.672
Si  0.422  0.078  0.922
Si  0.578  0.578  0.578
Si  0.672  0.328  0.828
Si  0.828  0.672  0.328
Si  0.922  0.422  0.078



[4]
# HoMgS3
Simulated powder diffractogram, Cu Kα X-rays. Input: a GGA-PBE-relaxed structure.

Largest 10 diffraction maxima, in order of rising 2θ, 2θ = 15–90°:
2θ (°)  I (rel.)
16.9  100
21.0  62
25.3  54
25.8  86
27.0  70
27.9  92
29.4  74
33.5  79
45.4  54
46.1  60

Atomic structure:
Lattice parameters (Å, degrees): 6.967 6.967 6.649 103.14 103.14 118.93
Fractional positions:
Ho  0.198  0.198  0.321
Ho  0.802  0.802  0.679
Mg  0.338  0.662  0.000
Mg  0.662  0.338  0.000
S  0.113  0.776  0.199
S  0.224  0.887  0.801
S  0.467  0.467  0.743
S  0.533  0.533  0.257
S  0.776  0.113  0.199
S  0.887  0.224  0.801



[5]
# PaBr4
Simulated powder diffractogram, Cu Kα X-rays. Input: a GGA-PBE-relaxed structure.

Largest 10 diffraction maxima, in order of rising 2θ, 2θ = 15–90°:
2θ (°)  I (rel.)
19.9  94
25.9  29
29.6  48
32.0  100
34.3  72
38.0  69
38.7  75
40.4  33
48.7  42
52.5  37

Atomic structure:
Lattice parameters (Å, degrees): 7.524 7.524 7.524 107.26 107.26 114.00
Fractional positions:
Pa  0.375  0.625  0.750
Pa  0.625  0.375  0.250
Br  0.135  0.697  0.439
Br  0.242  0.303  0.939
Br  0.303  0.242  0.439
Br  0.303  0.865  0.061
Br  0.697  0.135  0.939
Br  0.697  0.758  0.561
Br  0.758  0.697  0.061
Br  0.865  0.303  0.561